The following is a theoretical XRD peak list of Cs2Rb2MoO4. It was derived from a cell relaxed with GGA+U, using a wavelength of 1.5418 Å.
Kinematic intensities with the Lorentz-polarization factor, no thermal factor.

Top 12 peaks for 2θ from 10° to 90°, most intense first:
2theta	I_rel
26.8	1000
38.2	353
31.4	262
32.9	219
47.3	196
41.8	185
62.3	161
42.9	154
75.4	147
55.1	143
62.2	115
57.9	103

Crystal structure
Unit cell a=6.667 b=6.667 c=6.667 alpha=120.07 beta=120.07 gamma=89.88
Fractional positions:
Cs 0.250 0.750 0.500
Cs 0.750 0.250 0.500
Rb 0.152 0.152 0.000
Rb 0.848 0.848 0.000
Mo 0.500 0.500 0.000
O 0.294 0.294 0.588
O 0.294 0.706 0.000
O 0.706 0.294 0.000
O 0.706 0.706 0.412